Record 1
Structure and simulated XRD peak list of CePr6Nd3 (DFT lattice parameters and positions (PBE); Cu Kα).
Intensities are scaled so that the largest is 100.

Top 10 peaks for 2θ = 15–90°, in order of falling intensity:
h k l  2θ/deg  I_rel
3 0 0  30.51  100
2 -1 3  28.56  64
2 2 3  42.28  21
5 -1 3  53.03  21
3 3 0  54.22  19
1 0 4  31.76  17
2 1 4  40.71  14
6 0 0  63.48  14
3 0 6  55.99  13
1 3 4  48.26  12

Cell and atoms:
```
data_CePr6Nd3
_cell_length_a 10.1508
_cell_length_b 10.1508
_cell_length_c 11.8984
_cell_angle_alpha 90.00
_cell_angle_beta 90.00
_cell_angle_gamma 120.00
_symmetry_space_group_name_H-M 'R 3'
_symmetry_Int_Tables_number 146
_symmetry_space_group_name_Hall 'R 3'
loop_
_atom_site_label
_atom_site_fract_x
_atom_site_fract_y
_atom_site_fract_z
Ce1 0.0000 0.0000 0.0000
Pr1 0.0008 0.3190 0.9984
Pr2 0.0007 0.6758 0.4980
Nd1 0.0000 0.0000 0.2432
Nd2 0.0000 0.0000 0.4999
Nd3 0.0000 0.0000 0.7554
```


Record 2
Structure and simulated XRD peak list of B2C (DFT lattice parameters and positions (PBE); Cu Kα).
Intensities are scaled so that the largest is 100.

Top 10 peaks for 2θ = 15–90°, in order of falling intensity:
h k l  2θ/deg  I_rel
1 1 -1  35.25  100
1 1 0  35.02  99
0 0 1  28.02  74
1 1 -2  54.57  33
2 2 -1  67.14  28
1 1 1  54.06  24
0 2 2  76.82  18
2 0 -3  77.70  15
2 0 1  76.57  9
3 1 -1  78.19  6

Cell and atoms:
```
data_B2C
_cell_length_a 3.927
_cell_length_b 3.960
_cell_length_c 3.720
_cell_angle_alpha 90.00
_cell_angle_beta 121.13
_cell_angle_gamma 90.00
_symmetry_space_group_name_H-M 'C 1 2 1'
_symmetry_Int_Tables_number 5
loop_
_symmetry_equiv_pos_as_xyz
'x,y,z'
'-x,y,-z'
'x+1/2,y+1/2,z'
'-x+1/2,y+1/2,-z'
loop_
_atom_site_label
_atom_site_fract_x
_atom_site_fract_y
_atom_site_fract_z
B1 0.134 0.000 0.268
C1 0.000 0.748 0.500
```


Record 3
Structure and simulated XRD peak list of HfThN (DFT lattice parameters and positions (PBE); Cu Kα).
Intensities are scaled so that the largest is 100.

Top 10 peaks for 2θ = 15–90°, in order of falling intensity:
h k l  2θ/deg  I_rel
0 1 1  34.13  100
0 0 2  30.11  28
0 1 3  56.10  24
1 1 2  63.29  22
1 0 2  43.41  21
1 0 0  30.52  20
1 1 0  54.24  19
2 0 1  65.66  16
1 1 4  87.45  9
2 0 3  81.82  8

Cell and atoms:
```
data_HfThN
_cell_length_a 3.3825
_cell_length_b 3.3825
_cell_length_c 5.9351
_cell_angle_alpha 90.00
_cell_angle_beta 90.00
_cell_angle_gamma 120.00
_symmetry_space_group_name_H-M 'P 3 m 1'
_symmetry_Int_Tables_number 156
loop_
_symmetry_equiv_pos_as_xyz
'x,y,z'
'-y,x-y,z'
'-x+y,-x,z'
'-y,-x,z'
'-x+y,y,z'
'x,x-y,z'
loop_
_atom_site_label
_atom_site_fract_x
_atom_site_fract_y
_atom_site_fract_z
Hf1 0.0000 0.0000 0.0000
Th1 0.6667 0.3333 0.5293
N1 0.3333 0.6667 0.8280
```


Record 4
Structure and simulated XRD peak list of La3Au5 (DFT lattice parameters and positions (PBE); Cu Kα).
Intensities are scaled so that the largest is 100.

Top 10 peaks for 2θ = 15–90°, in order of falling intensity:
h k l  2θ/deg  I_rel
1 3 5  36.69  100
2 6 0  42.30  87
0 6 2  32.23  80
2 0 2  31.65  67
1 3 1  21.63  54
1 3 3  27.50  49
1 1 5  33.76  43
2 4 0  35.56  39
1 9 7  65.87  31
1 3 7  47.61  27

Cell and atoms:
```
data_La3Au5
_cell_length_a 6.108
_cell_length_b 17.948
_cell_length_c 14.945
_cell_angle_alpha 90.00
_cell_angle_beta 90.00
_cell_angle_gamma 90.00
_symmetry_space_group_name_H-M 'F d d 2'
_symmetry_Int_Tables_number 43
_symmetry_space_group_name_Hall 'F 2 -2d'
loop_
_atom_site_label
_atom_site_fract_x
_atom_site_fract_y
_atom_site_fract_z
La1 0.000 0.000 0.000
La2 0.048 0.167 0.509
Au1 0.000 0.000 0.445
Au2 0.038 0.164 0.086
Au3 0.091 0.192 0.898
```


Record 5
Structure and simulated XRD peak list of HoBiPb2O6 (DFT lattice parameters and positions (PBE); Cu Kα).
Intensities are scaled so that the largest is 100.

Top 10 peaks for 2θ = 15–90°, in order of falling intensity:
h k l  2θ/deg  I_rel
1 1 1  29.61  100
2 0 -2  29.94  24
0 2 0  29.35  24
3 1 -1  52.95  23
2 2 -2  42.43  23
1 3 1  52.22  19
0 0 4  42.30  13
0 2 4  52.32  11
1 1 5  69.60  10
3 3 -5  69.78  8

Cell and atoms:
```
data_HoBiPb2O6
_cell_length_a 5.968
_cell_length_b 6.086
_cell_length_c 10.413
_cell_angle_alpha 90.00
_cell_angle_beta 124.85
_cell_angle_gamma 90.00
_symmetry_space_group_name_H-M 'P 1 21/c 1'
_symmetry_Int_Tables_number 14
loop_
_symmetry_equiv_pos_as_xyz
'x,y,z'
'-x,-y,-z'
'-x,y+1/2,-z+1/2'
'x,-y+1/2,z+1/2'
loop_
_atom_site_label
_atom_site_fract_x
_atom_site_fract_y
_atom_site_fract_z
Ho1 0.000 0.000 0.000
Bi1 0.500 0.000 0.500
Pb1 0.246 0.034 0.751
O1 0.165 0.198 0.456
O2 0.265 0.708 0.457
O3 0.345 0.024 0.256
```


Record 6
Structure and simulated XRD peak list of Nd2Cd3Pb (DFT lattice parameters and positions (PBE); Cu Kα).
Intensities are scaled so that the largest is 100.

Top 10 peaks for 2θ = 15–90°, in order of falling intensity:
h k l  2θ/deg  I_rel
2 0 4  31.68  100
0 4 0  35.66  80
4 4 0  62.19  31
2 4 4  48.40  21
2 2 10  61.60  19
4 0 0  49.15  11
2 6 2  61.50  10
2 0 8  48.47  10
0 6 6  64.01  9
4 6 6  84.70  9

Cell and atoms:
```
data_Nd2Cd3Pb
_cell_length_a 7.415
_cell_length_b 10.084
_cell_length_c 17.425
_cell_angle_alpha 90.00
_cell_angle_beta 90.00
_cell_angle_gamma 90.00
_symmetry_space_group_name_H-M 'F m m m'
_symmetry_Int_Tables_number 69
_symmetry_space_group_name_Hall '-F 2 2'
loop_
_atom_site_label
_atom_site_fract_x
_atom_site_fract_y
_atom_site_fract_z
Nd1 0.247 0.000 0.000
Nd2 0.250 0.250 0.250
Cd1 0.000 0.000 0.163
Cd2 0.000 0.246 0.081
Pb1 0.000 0.000 0.334
```


Record 7
Structure and simulated XRD peak list of K2In6Pb3 (DFT lattice parameters and positions (PBE); Cu Kα).
Intensities are scaled so that the largest is 100.

Top 10 peaks for 2θ = 15–90°, in order of falling intensity:
h k l  2θ/deg  I_rel
2 2 1  26.92  100
3 3 1  34.92  74
2 4 1  35.20  57
5 1 0  37.75  38
0 0 2  37.24  34
3 1 1  29.57  32
3 5 1  43.92  28
5 1 2  54.07  27
0 6 0  39.07  24
0 6 2  55.08  19

Cell and atoms:
```
data_K2In6Pb3
_cell_length_a 12.095
_cell_length_b 13.832
_cell_length_c 4.829
_cell_angle_alpha 90.00
_cell_angle_beta 90.00
_cell_angle_gamma 90.00
_symmetry_space_group_name_H-M 'C m m m'
_symmetry_Int_Tables_number 65
_symmetry_space_group_name_Hall '-C 2 2'
loop_
_atom_site_label
_atom_site_fract_x
_atom_site_fract_y
_atom_site_fract_z
K1 0.000 0.211 0.000
In1 0.117 0.000 0.500
In2 0.203 0.348 0.500
Pb1 0.000 0.500 0.500
Pb2 0.207 0.500 0.000
```